Starting from a cell relaxed with PBE, the X-ray powder pattern of Hf4HN was simulated for a wavelength of 1.5418 Å.
No peak broadening, texture or thermal motion is included.

Peak list (8 most intense, 5° ≤ 2θ ≤ 70°, most intense first)
2θ/deg	I_rel
35.38	1000
34.25	514
62.06	264
49.22	169
38.44	157
64.21	140
59.21	95
52.54	72

Lattice parameters (Å, degrees): 7.405 7.405 6.968 90.00 90.00 90.00
Space group I4_1md (No. 109)
One atom of each set of equivalent atoms:
1 Hf 0.000 0.278 0.000 x8
2 Hf 0.000 0.291 0.547 x8
3 H 0.000 0.000 0.106 x4
4 N 0.000 0.000 0.524 x4